[1]
For DyHo2I, a DFT-relaxed cell (GGA-PBE, Alexandria) gives the computed powder diffraction line list in this record (Cu Kα, 1.54184 Å).
Intensities are scaled so that the largest is 1000.

Cell and atoms:
```
DyHo2I
1.0
1.860 1.074 10.416
-1.860 1.074 10.416
0.000 -2.148 10.416
Dy Ho I
1 2 1
Cartesian
0.000 0.000 0.000
0.000 0.000 7.680
0.000 0.000 23.567
0.000 0.000 15.623
```

Top 8 peaks for 10° ≤ 2θ ≤ 80°, low angle first:
d_spacing	I (rel.)
2.978	1000
2.604	221
2.485	599
1.860	259
1.670	167
1.578	151
1.514	251
1.489	128

---

[2]
For AcTb7Ho3, a DFT-relaxed cell (GGA-PBE, Alexandria) gives the computed powder diffraction line list in this record (Cu Kα, 1.54184 Å).
Intensities are scaled so that the largest is 1000.

Cell and atoms:
```
AcTb7Ho3
1.0
7.024 0.000 0.000
0.000 5.610 0.000
-3.130 0.000 9.342
Ac Tb Ho
1 7 3
Cartesian
0.000 0.000 0.000
-1.565 0.000 4.671
-1.444 2.805 7.368
1.896 2.805 1.355
1.999 0.000 3.115
1.895 0.000 6.227
1.999 2.805 7.987
5.338 2.805 1.974
0.386 2.805 4.611
3.512 0.000 0.000
3.508 2.805 4.731
```

Top 8 peaks for 10° ≤ 2θ ≤ 80°, low angle first:
d_spacing	I (rel.)
2.880	168
2.863	616
2.806	1000
2.752	136
2.723	451
1.620	115
1.558	116
1.488	114

---

[3]
For Ar, a DFT-relaxed cell (GGA-PBE, Alexandria) gives the computed powder diffraction line list in this record (Cu Kα, 1.54184 Å).
Intensities are scaled so that the largest is 1000.

Cell and atoms:
```
Ar
1.0
0.000 2.823 2.823
2.823 0.000 2.823
2.823 2.823 0.000
Ar
1
Cartesian
0.000 0.000 0.000
```

Top 8 peaks for 10° ≤ 2θ ≤ 80°, low angle first:
d_spacing	I (rel.)
3.260	1000
2.823	488
1.996	306
1.703	341
1.630	97
1.412	42
1.295	125
1.263	114

---

[4]
For MnAlSe3, a DFT-relaxed cell (GGA-PBE, Alexandria) gives the computed powder diffraction line list in this record (Cu Kα, 1.54184 Å).
Intensities are scaled so that the largest is 1000.

Cell and atoms:
```
MnAlSe3
1.0
3.645 0.000 0.000
-0.022 6.761 0.000
0.000 -0.743 11.203
Mn Al Se
2 2 6
Cartesian
0.000 0.000 0.000
1.822 -0.135 8.503
0.002 1.261 5.201
1.802 6.293 3.248
3.625 5.545 4.656
1.801 5.352 1.031
1.822 0.899 10.756
1.824 1.690 6.869
1.825 1.919 3.488
3.623 5.023 8.841
```

Top 8 peaks for 10° ≤ 2θ ≤ 80°, low angle first:
d_spacing	I (rel.)
6.746	1000
5.613	408
3.369	888
3.207	634
3.179	851
3.056	419
2.821	436
1.865	479

---

[5]
For Er3HgOs, a DFT-relaxed cell (GGA-PBE, Alexandria) gives the computed powder diffraction line list in this record (Cu Kα, 1.54184 Å).
Intensities are scaled so that the largest is 1000.

Cell and atoms:
```
Er3HgOs
1.0
0.000 4.802 8.000
3.217 0.000 8.000
3.217 4.802 0.000
Er Hg Os
6 2 2
Cartesian
3.217 4.802 3.191
3.217 3.011 6.224
3.217 3.011 9.776
3.217 6.592 6.224
3.217 6.592 9.776
3.217 4.802 12.809
5.048 4.802 8.000
1.386 4.802 8.000
1.608 2.401 4.000
4.825 7.202 12.000
```

Top 8 peaks for 10° ≤ 2θ ≤ 80°, low angle first:
d_spacing	I (rel.)
4.117	263
3.073	224
2.821	499
2.746	460
2.535	1000
2.507	655
2.401	216
2.331	419

---

[6]
For AcMgAl2Pd, a DFT-relaxed cell (GGA-PBE, Alexandria) gives the computed powder diffraction line list in this record (Cu Kα, 1.54184 Å).
Intensities are scaled so that the largest is 1000.

Cell and atoms:
```
AcMgAl2Pd
1.0
-2.232 2.259 5.647
2.232 -2.259 5.647
2.232 2.259 -5.647
Ac Mg Al Pd
1 1 2 1
Cartesian
0.000 0.000 0.000
2.232 0.000 2.814
0.000 0.000 6.796
0.000 2.259 2.824
0.000 0.000 4.251
```

Top 8 peaks for 10° ≤ 2θ ≤ 80°, low angle first:
d_spacing	I (rel.)
5.647	594
4.195	283
3.175	756
2.892	616
2.878	609
2.768	1000
1.777	302
1.767	329

---

[7]
For Pr4Sm7Sc, a DFT-relaxed cell (GGA-PBE, Alexandria) gives the computed powder diffraction line list in this record (Cu Kα, 1.54184 Å).
Intensities are scaled so that the largest is 1000.

Cell and atoms:
```
Pr4Sm7Sc
1.0
3.634 0.000 0.000
-1.817 3.147 0.000
0.000 0.000 35.495
Pr Sm Sc
4 7 1
Cartesian
0.000 2.098 5.747
0.000 2.098 14.737
1.817 1.049 20.757
1.817 1.049 29.747
0.000 0.000 8.760
0.000 0.000 17.747
0.000 0.000 26.735
0.000 2.098 23.782
0.000 2.098 32.795
1.817 1.049 2.700
1.817 1.049 11.712
0.000 0.000 0.000
```

Top 8 peaks for 10° ≤ 2θ ≤ 80°, low angle first:
d_spacing	I (rel.)
2.964	1000
2.567	498
1.817	187
1.813	156
1.549	310
1.546	83
1.483	91
1.283	50

---

[8]
For Y3Hg3Rh2, a DFT-relaxed cell (GGA-PBE, Alexandria) gives the computed powder diffraction line list in this record (Cu Kα, 1.54184 Å).
Intensities are scaled so that the largest is 1000.

Cell and atoms:
```
Y3Hg3Rh2
1.0
7.630 0.000 0.000
-3.815 6.608 0.000
0.000 0.000 3.612
Y Hg Rh
3 3 2
Cartesian
-1.601 2.772 0.000
3.201 0.000 0.000
2.214 3.836 0.000
-2.914 5.047 1.806
0.901 1.561 1.806
5.828 0.000 1.806
0.000 4.405 1.806
3.815 2.203 1.806
```

Top 8 peaks for 10° ≤ 2θ ≤ 80°, low angle first:
d_spacing	I (rel.)
3.612	283
2.623	789
2.498	1000
2.438	498
2.054	476
1.463	383
1.398	272
1.339	202

---

[9]
For Sr7MnN6, a DFT-relaxed cell (GGA-PBE, Alexandria) gives the computed powder diffraction line list in this record (Cu Kα, 1.54184 Å).
Intensities are scaled so that the largest is 1000.

Cell and atoms:
```
Sr7MnN6
1.0
11.805 0.000 0.000
0.000 6.705 0.000
0.000 0.000 13.687
Sr Mn N
28 4 24
Cartesian
0.000 0.434 3.422
0.000 6.270 10.266
0.435 1.585 7.131
0.435 5.120 0.287
2.468 2.593 1.775
2.468 4.112 8.619
2.605 2.389 12.007
2.605 4.316 5.163
3.298 0.963 5.163
3.298 5.742 12.007
3.435 0.759 8.619
3.435 5.945 1.775
5.468 1.768 0.287
5.468 4.937 7.131
5.903 2.918 10.266
5.903 3.787 3.422
6.337 1.768 6.556
6.337 4.937 13.400
8.371 0.759 11.912
8.371 5.945 5.068
8.508 0.963 1.681
8.508 5.742 8.525
9.200 2.389 8.525
9.200 4.316 1.681
9.337 2.593 5.068
9.337 4.112 11.912
11.371 1.585 13.400
11.371 5.120 6.556
0.000 2.877 10.266
0.000 3.828 3.422
5.903 0.475 3.422
5.903 6.229 10.266
0.491 2.787 4.827
0.491 3.918 11.670
1.381 1.834 9.730
1.381 4.871 2.887
1.961 0.595 0.026
1.961 6.110 6.870
3.942 2.757 6.870
3.942 3.948 0.026
4.522 1.519 2.887
4.522 5.186 9.730
5.412 0.565 11.670
5.412 6.140 4.827
6.394 0.565 8.861
6.394 6.140 2.017
7.284 1.519 3.957
7.284 5.186 10.801
7.863 2.757 13.661
7.863 3.948 6.817
9.845 0.595 6.817
9.845 6.110 13.661
10.424 1.834 10.801
10.424 4.871 3.957
11.314 2.787 2.017
11.314 3.918 8.861
```

Top 8 peaks for 10° ≤ 2θ ≤ 80°, low angle first:
d_spacing	I (rel.)
3.139	242
3.011	127
2.958	1000
2.682	214
2.650	286
2.633	201
2.227	137
2.087	106

---

[10]
For CaPr2Nd6, a DFT-relaxed cell (GGA-PBE, Alexandria) gives the computed powder diffraction line list in this record (Cu Kα, 1.54184 Å).
Intensities are scaled so that the largest is 1000.

Cell and atoms:
```
CaPr2Nd6
1.0
9.138 -5.039 0.000
9.138 5.039 0.000
-0.687 0.000 3.555
Ca Pr Nd
1 2 6
Cartesian
0.000 0.000 0.000
5.766 0.000 3.030
11.836 0.000 0.495
5.792 3.223 1.191
8.800 1.697 1.764
11.798 3.223 2.382
5.792 -3.223 1.191
8.800 -1.697 1.764
11.798 -3.223 2.382
```

Top 8 peaks for 10° ≤ 2θ ≤ 80°, low angle first:
d_spacing	I (rel.)
8.787	191
3.177	172
2.991	515
2.929	1000
2.902	408
2.724	163
1.715	178
1.543	215